[1]
For TaRu, a GGA-PBE-relaxed structure gives the computed X-ray diffraction stick pattern in this record (Cu Kα, 1.54184 Å).
Neutral-atom scattering factors, no anomalous dispersion.

Main lines, in order of rising 2θ (2θ from 15° to 90°):
- 26.2°, d 3.407, intensity 12, hkl 0 2 0
- 39.4°, d 2.290, intensity 100, hkl 2 2 0
- 39.7°, d 2.269, intensity 99, hkl 0 2 1
- 41.7°, d 2.168, intensity 87, hkl 2 0 1
- 53.8°, d 1.704, intensity 19, hkl 0 4 0
- 59.8°, d 1.546, intensity 14, hkl 4 0 0
- 60.9°, d 1.521, intensity 15, hkl 0 0 2
- 70.3°, d 1.340, intensity 33, hkl 2 4 1
- 74.2°, d 1.278, intensity 29, hkl 4 2 1
- 75.0°, d 1.267, intensity 30, hkl 2 2 2

Cell and atoms:
a b c (Å): 6.1831 6.8147 3.0416
angles (deg): 90.00 90.00 90.00
Space group Cmmm (No. 65)
Unique sites:
Ta (0.2361, 0.0000, 0.0000) x4
Ru (0.0000, 0.2710, 0.5000) x4



[2]
For Hg, a GGA-PBE-relaxed structure gives the computed X-ray diffraction stick pattern in this record (Cu Kα, 1.54184 Å).
Neutral-atom scattering factors, no anomalous dispersion.

Main lines, in order of rising 2θ (2θ from 15° to 90°):
- 28.5°, d 3.133, intensity 25, hkl 1 0 1
- 30.3°, d 2.954, intensity 100, hkl 4 0 0
- 32.3°, d 2.768, intensity 43, hkl 2 1 1
- 35.8°, d 2.506, intensity 32, hkl 3 0 1
- 39.0°, d 2.307, intensity 27, hkl 3 2 1
- 42.0°, d 2.149, intensity 17, hkl 1 4 1
- 43.3°, d 2.089, intensity 36, hkl 4 4 0
- 47.6°, d 1.911, intensity 29, hkl 4 3 1
- 65.6°, d 1.423, intensity 23, hkl 4 0 2
- 70.5°, d 1.336, intensity 19, hkl 4 7 1

Cell and atoms:
a b c (Å): 11.8175 11.8175 3.2490
angles (deg): 90.00 90.00 90.00
Space group I4/m (No. 87)
Unique sites:
Hg (0.1070, 0.3659, 0.0000) x8
Hg (0.1271, 0.8676, 0.5000) x8



[3]
For Th3Pt, a GGA-PBE-relaxed structure gives the computed X-ray diffraction stick pattern in this record (Cu Kα, 1.54184 Å).
Neutral-atom scattering factors, no anomalous dispersion.

Main lines, in order of rising 2θ (2θ from 15° to 90°):
- 29.6°, d 3.022, intensity 25, hkl 0 3 1
- 29.9°, d 2.988, intensity 24, hkl 0 0 2
- 33.4°, d 2.683, intensity 100, hkl 1 2 1
- 34.1°, d 2.627, intensity 17, hkl 0 4 0
- 34.5°, d 2.598, intensity 15, hkl 0 2 2
- 39.9°, d 2.260, intensity 17, hkl 1 1 2
- 49.8°, d 1.829, intensity 11, hkl 2 0 0
- 52.3°, d 1.750, intensity 11, hkl 1 0 3
- 52.9°, d 1.732, intensity 12, hkl 0 3 3
- 59.4°, d 1.556, intensity 18, hkl 1 5 2

Cell and atoms:
a b c (Å): 3.6590 10.5096 5.9764
angles (deg): 90.00 90.00 90.00
Space group Imm2 (No. 44)
Unique sites:
Th (0.0000, 0.0000, 0.0000) x2
Th (0.0000, 0.2063, 0.5510) x4
Pt (0.0000, 0.5000, 0.8908) x2



[4]
For Tm3Tl3Ag2, a GGA-PBE-relaxed structure gives the computed X-ray diffraction stick pattern in this record (Cu Kα, 1.54184 Å).
Neutral-atom scattering factors, no anomalous dispersion.

Main lines, in order of rising 2θ (2θ from 15° to 90°):
- 33.2°, d 2.699, intensity 100, hkl 1 1 1
- 34.9°, d 2.569, intensity 73, hkl 2 1 0
- 35.8°, d 2.508, intensity 44, hkl 2 0 1
- 39.8°, d 2.265, intensity 22, hkl 3 0 0
- 42.8°, d 2.113, intensity 20, hkl 2 1 1
- 49.0°, d 1.859, intensity 16, hkl 0 0 2
- 54.6°, d 1.681, intensity 20, hkl 3 1 1
- 61.6°, d 1.506, intensity 29, hkl 2 1 2
- 64.9°, d 1.437, intensity 32, hkl 3 2 1
- 68.1°, d 1.377, intensity 13, hkl 4 1 1

Cell and atoms:
a b c (Å): 7.8471 7.8471 3.7175
angles (deg): 90.00 90.00 120.00
Space group P-62m (No. 189)
Unique sites:
Tm (0.0000, 0.6013, 0.0000) x3
Tl (0.0000, 0.2447, 0.5000) x3
Ag (0.3333, 0.6667, 0.5000) x2



[5]
For Ba2Hg4Pd3Au, a GGA-PBE-relaxed structure gives the computed X-ray diffraction stick pattern in this record (Cu Kα, 1.54184 Å).
Neutral-atom scattering factors, no anomalous dispersion.

Main lines, in order of rising 2θ (2θ from 15° to 90°):
- 16.7°, d 5.305, intensity 22, hkl 0 0 2
- 30.5°, d 2.930, intensity 100, hkl 1 1 2
- 31.0°, d 2.882, intensity 51, hkl 1 0 3
- 36.1°, d 2.485, intensity 87, hkl 2 0 0
- 42.7°, d 2.117, intensity 50, hkl 1 1 4
- 48.4°, d 1.882, intensity 30, hkl 2 1 3
- 52.0°, d 1.757, intensity 31, hkl 2 2 0
- 58.4°, d 1.580, intensity 17, hkl 1 1 6
- 61.5°, d 1.507, intensity 27, hkl 3 1 2
- 69.5°, d 1.352, intensity 24, hkl 3 1 4

Cell and atoms:
a b c (Å): 4.9700 4.9700 10.6102
angles (deg): 90.00 90.00 90.00
Space group P-4m2 (No. 115)
Unique sites:
Ba (0.0000, 0.5000, 0.2398) x2
Hg (0.0000, 0.0000, 0.5000) x1
Hg (0.0000, 0.5000, 0.8713) x2
Hg (0.5000, 0.5000, 0.5000) x1
Pd (0.0000, 0.0000, 0.0000) x1
Pd (0.0000, 0.5000, 0.6162) x2
Au (0.5000, 0.5000, 0.0000) x1



[6]
For PmP2O6, a GGA-PBE-relaxed structure gives the computed X-ray diffraction stick pattern in this record (Cu Kα, 1.54184 Å).
Neutral-atom scattering factors, no anomalous dispersion.

Main lines, in order of rising 2θ (2θ from 15° to 90°):
- 17.8°, d 4.990, intensity 100, hkl 1 1 -1
- 18.4°, d 4.827, intensity 23, hkl 0 2 0
- 23.1°, d 3.856, intensity 53, hkl 1 1 1
- 26.9°, d 3.315, intensity 90, hkl 2 2 -1
- 29.2°, d 3.055, intensity 69, hkl 3 1 0
- 32.1°, d 2.784, intensity 31, hkl 0 0 2
- 34.2°, d 2.625, intensity 37, hkl 2 2 1
- 39.5°, d 2.283, intensity 32, hkl 4 0 -2
- 49.5°, d 1.842, intensity 19, hkl 2 2 -3
- 50.0°, d 1.823, intensity 19, hkl 4 2 1

Cell and atoms:
a b c (Å): 10.3887 9.6373 5.9810
angles (deg): 90.00 111.39 90.00
Space group C2/c (No. 15)
Unique sites:
Pm (0.0000, 0.1319, 0.2500) x4
P (0.2021, 0.4375, 0.2472) x8
O (0.1351, 0.0517, 0.6412) x8
O (0.1518, 0.4849, 0.4880) x8
O (0.1543, 0.2859, 0.2069) x8



[7]
For Ac2Ce4Sn3N2, a GGA-PBE-relaxed structure gives the computed X-ray diffraction stick pattern in this record (Cu Kα, 1.54184 Å).
Neutral-atom scattering factors, no anomalous dispersion.

Main lines, in order of rising 2θ (2θ from 15° to 90°):
- 20.9°, d 4.254, intensity 18, hkl 1 0 3
- 26.5°, d 3.358, intensity 21, hkl 0 0 8
- 26.9°, d 3.312, intensity 54, hkl 1 1 2
- 29.7°, d 3.006, intensity 27, hkl 1 0 7
- 33.0°, d 2.717, intensity 100, hkl 1 1 6
- 37.2°, d 2.417, intensity 57, hkl 2 0 0
- 46.3°, d 1.962, intensity 19, hkl 2 0 8
- 48.3°, d 1.883, intensity 15, hkl 2 1 7
- 53.6°, d 1.709, intensity 20, hkl 2 2 0
- 64.4°, d 1.447, intensity 30, hkl 3 1 6

Cell and atoms:
a b c (Å): 4.8335 4.8335 26.8678
angles (deg): 90.00 90.00 90.00
Space group I4/mmm (No. 139)
Unique sites:
Ac (0.0000, 0.0000, 0.1950) x4
Ce (0.0000, 0.5000, 0.0817) x8
Sn (0.0000, 0.0000, 0.3294) x4
Sn (0.0000, 0.0000, 0.5000) x2
N (0.0000, 0.0000, 0.0979) x4



[8]
For Hf6PIr3, a GGA-PBE-relaxed structure gives the computed X-ray diffraction stick pattern in this record (Cu Kα, 1.54184 Å).
Neutral-atom scattering factors, no anomalous dispersion.

Main lines, in order of rising 2θ (2θ from 15° to 90°):
- 31.0°, d 2.884, intensity 61, hkl 1 2 -2
- 31.5°, d 2.842, intensity 47, hkl 2 1 -2
- 31.8°, d 2.812, intensity 75, hkl 1 0 2
- 33.3°, d 2.690, intensity 100, hkl 2 1 -3
- 34.4°, d 2.610, intensity 59, hkl 1 1 2
- 34.9°, d 2.573, intensity 60, hkl 1 2 1
- 35.4°, d 2.538, intensity 62, hkl 1 1 -4
- 35.5°, d 2.527, intensity 53, hkl 1 2 -3
- 38.9°, d 2.317, intensity 95, hkl 0 0 4
- 41.3°, d 2.188, intensity 83, hkl 1 3 -1

Cell and atoms:
a b c (Å): 6.2231 7.0115 10.9591
angles (deg): 90.00 122.27 90.00
Space group P2_1/c (No. 14)
Unique sites:
Hf (0.0727, 0.0512, 0.2486) x4
Hf (0.2150, 0.6730, 0.0724) x4
Hf (0.4126, 0.1651, 0.0687) x4
P (0.0000, 0.0000, 0.0000) x2
Ir (0.3088, 0.1214, 0.7496) x4
Ir (0.5000, 0.0000, 0.5000) x2